The following is a calculated powder diffraction line list of Pu3Ag2O10. It was derived from the GGA-PBE geometry in Alexandria, using Cu Kα X-rays.
Neutral-atom scattering factors, no anomalous dispersion.

Peak list (10 most intense, 2θ = 5–70°, most intense first)
hkl 0 2 0, 22.4°, I = 100
hkl 0 1 -3, 27.8°, I = 44
hkl 1 0 -1, 14.0°, I = 28
hkl 1 0 1, 19.9°, I = 26
hkl 2 -2 0, 33.3°, I = 21
hkl 0 0 1, 10.0°, I = 19
hkl 0 1 -2, 18.7°, I = 18
hkl 0 4 0, 45.8°, I = 18
hkl 0 3 -3, 35.5°, I = 17
hkl 2 1 -2, 29.0°, I = 16

Cell and atoms:
```
data_Pu3Ag2O10
_chemical_formula_sum 'Pu6 Ag4 O20'
_symmetry_space_group_name_H-M 'P -1'
_symmetry_Int_Tables_number 2
_cell_length_a 6.7802
_cell_length_b 8.6316
_cell_length_c 10.1981
_cell_angle_alpha 111.50
_cell_angle_beta 109.07
_cell_angle_gamma 91.24
loop_
_symmetry_equiv_pos_as_xyz
'x,y,z'
'-x,-y,-z'
loop_
_atom_site_label
_atom_site_fract_x
_atom_site_fract_y
_atom_site_fract_z
Pu1 0.1220 0.4733 0.1668
Pu2 0.1873 0.9981 0.3706
Pu3 0.2495 0.0020 0.9998
Ag1 0.2963 0.5216 0.5335
Ag2 0.3883 0.5452 0.8704
O1 0.0000 0.0000 0.5000
O2 0.0235 0.4766 0.3257
O3 0.0366 0.1821 0.0562
O4 0.1408 0.9952 0.8011
O5 0.1495 0.7606 0.2772
O6 0.1817 0.5006 0.9860
O7 0.2299 0.2277 0.4534
O8 0.3405 0.0105 0.1992
O9 0.4267 0.4615 0.2753
O10 0.4637 0.8384 0.9495
O11 0.5000 0.0000 0.5000
```

The following is a calculated powder diffraction line list of Pu2Ag3O9. It was derived from the GGA-PBE geometry in Alexandria, using Cu Kα X-rays.
Neutral-atom scattering factors, no anomalous dispersion.

Peak list (10 most intense, 2θ = 5–70°, most intense first)
hkl 2 2 0, 24.6°, I = 100
hkl 3 1 -2, 27.9°, I = 97
hkl 1 1 -2, 23.6°, I = 57
hkl 0 2 0, 16.1°, I = 51
hkl 1 3 -2, 33.0°, I = 51
hkl 3 1 0, 29.0°, I = 39
hkl 4 4 -2, 47.0°, I = 35
hkl 1 1 2, 32.2°, I = 33
hkl 6 2 -2, 52.3°, I = 28
hkl 2 2 -4, 48.3°, I = 26

Cell and atoms:
```
data_Pu2Ag3O9
_chemical_formula_sum 'Pu8 Ag12 O36'
_symmetry_space_group_name_H-M 'C 1 2/c 1'
_symmetry_Int_Tables_number 15
_cell_length_a 11.0928
_cell_length_b 11.0302
_cell_length_c 8.1121
_cell_angle_alpha 90.00
_cell_angle_beta 119.98
_cell_angle_gamma 90.00
loop_
_symmetry_equiv_pos_as_xyz
'x,y,z'
'-x,-y,-z'
'-x,y,-z+1/2'
'x,-y,z+1/2'
'x+1/2,y+1/2,z'
'-x+1/2,-y+1/2,-z'
'-x+1/2,y+1/2,-z+1/2'
'x+1/2,-y+1/2,z+1/2'
loop_
_atom_site_label
_atom_site_fract_x
_atom_site_fract_y
_atom_site_fract_z
Pu1 0.2071 0.0104 0.3578
Ag1 0.0000 0.4153 0.2500
Ag2 0.0472 0.2312 0.6071
O1 0.0000 0.0843 0.7500
O2 0.1037 0.4006 0.5472
O3 0.1161 0.1445 0.2220
O4 0.2009 0.0673 0.6061
O5 0.2015 0.3751 0.0113
```

The following is a calculated powder diffraction line list of Pu3Ag5O12. It was derived from the GGA-PBE geometry in Alexandria, using Cu Kα X-rays.
Neutral-atom scattering factors, no anomalous dispersion.

Peak list (10 most intense, 2θ = 5–70°, most intense first)
hkl 3 0 0, 31.4°, I = 100
hkl 1 1 0, 17.9°, I = 30
hkl 3 3 0, 55.8°, I = 30
hkl 2 2 1, 44.9°, I = 21
hkl 3 0 2, 62.4°, I = 12
hkl 2 1 1, 37.9°, I = 9
hkl 2 1 0, 27.5°, I = 7
hkl 0 0 2, 52.5°, I = 6
hkl 2 2 0, 36.3°, I = 5
hkl 3 2 1, 53.5°, I = 5

Cell and atoms:
```
data_Pu3Ag5O12
_chemical_formula_sum 'Pu3 Ag5 O12'
_symmetry_space_group_name_H-M 'P -6 2 m'
_symmetry_Int_Tables_number 189
_symmetry_space_group_name_Hall 'P -6 -2'
_cell_length_a 9.8916
_cell_length_b 9.8916
_cell_length_c 3.4864
_cell_angle_alpha 90.00
_cell_angle_beta 90.00
_cell_angle_gamma 120.00
loop_
_atom_site_label
_atom_site_fract_x
_atom_site_fract_y
_atom_site_fract_z
Pu1 0.0000 0.6539 0.0000
Ag1 0.0000 0.2797 0.5000
Ag2 0.3333 0.6667 0.5000
O1 0.0000 0.5217 0.5000
O2 0.0000 0.7876 0.5000
O3 0.2218 0.7677 0.0000
```

The following is a calculated powder diffraction line list of Sr2PuAgO6. It was derived from the GGA-PBE geometry in Alexandria, using Cu Kα X-rays.
Neutral-atom scattering factors, no anomalous dispersion.

Peak list (10 most intense, 2θ = 5–70°, most intense first)
hkl 3 1 -1, 29.5°, I = 100
hkl 1 1 1, 29.0°, I = 98
hkl 2 2 -2, 42.9°, I = 47
hkl 0 2 0, 30.3°, I = 44
hkl 2 0 -2, 29.7°, I = 39
hkl 1 1 -1, 21.1°, I = 35
hkl 1 1 0, 18.1°, I = 28
hkl 4 2 0, 51.7°, I = 24
hkl 4 0 0, 40.8°, I = 23
hkl 5 1 -3, 52.9°, I = 22

Cell and atoms:
```
data_Sr2PuAgO6
_chemical_formula_sum 'Sr4 Pu2 Ag2 O12'
_symmetry_space_group_name_H-M 'C 1 2/m 1'
_symmetry_Int_Tables_number 12
_cell_length_a 10.5806
_cell_length_b 5.9045
_cell_length_c 6.0140
_cell_angle_alpha 90.00
_cell_angle_beta 123.31
_cell_angle_gamma 90.00
loop_
_symmetry_equiv_pos_as_xyz
'x,y,z'
'-x,-y,-z'
'-x,y,-z'
'x,-y,z'
'x+1/2,y+1/2,z'
'-x+1/2,-y+1/2,-z'
'-x+1/2,y+1/2,-z'
'x+1/2,-y+1/2,z'
loop_
_atom_site_label
_atom_site_fract_x
_atom_site_fract_y
_atom_site_fract_z
Sr1 0.2497 0.0000 0.2251
Pu1 0.0000 0.5000 0.0000
Ag1 0.0000 0.0000 0.5000
O1 0.0680 0.2615 0.8416
O2 0.2093 0.5000 0.3265
```

- Which formula does entry 1 have?
  Pu3Ag2O10

- What is the formula in the first record?
  Pu3Ag2O10